Diffraction record for Na2Li3In6. The PXRD pattern is theoretical, not measured: it uses a structure optimized by DFT (PBE) and a wavelength of 1.5418 Å.
Neutral-atom scattering factors, no anomalous dispersion.

Structural model:
a = 11.591 Å, b = 14.086 Å, c = 3.363 Å
α = 90.00°, β = 90.00°, γ = 90.00°
Space group Cmmm (No. 65)
Inequivalent atoms, fractional coordinates:
Na (0.000, 0.193, 0.000)
Li (0.000, 0.500, 0.500)
Li (0.189, 0.500, 0.000)
In (0.123, 0.000, 0.500)
In (0.187, 0.340, 0.500)

Peak list (6 most intense, 2θ from 10° to 80°, sorted by position)
| d [Å] | two_theta | I/Imax |
| --- | --- | --- |
| 5.796 | 15.29 | 49 |
| 4.352 | 20.41 | 56 |
| 3.363 | 26.50 | 73 |
| 2.983 | 29.95 | 100 |
| 2.661 | 33.68 | 56 |
| 2.232 | 40.41 | 70 |

---

Diffraction record for Na3Li2In4. The PXRD pattern is theoretical, not measured: it uses a structure optimized by DFT (PBE) and a wavelength of 1.5418 Å.
Neutral-atom scattering factors, no anomalous dispersion.

Structural model:
a = 15.484 Å, b = 9.017 Å, c = 6.500 Å
α = 90.00°, β = 90.01°, γ = 90.00°
Space group C2/c (No. 15)
Inequivalent atoms, fractional coordinates:
Na (0.000, 0.000, 0.250)
Na (0.166, 0.500, 0.250)
Li (0.163, 0.159, 0.001)
In (0.004, 0.332, 0.000)
In (0.167, 0.162, 0.501)

Peak list (6 most intense, 2θ from 10° to 80°, sorted by position)
| d [Å] | two_theta | I/Imax |
| --- | --- | --- |
| 4.991 | 17.77 | 87 |
| 3.250 | 27.44 | 49 |
| 2.632 | 34.06 | 100 |
| 2.597 | 34.53 | 99 |
| 2.581 | 34.76 | 49 |
| 2.029 | 44.66 | 51 |

---

Diffraction record for NaLi3In12. The PXRD pattern is theoretical, not measured: it uses a structure optimized by DFT (PBE) and a wavelength of 1.5418 Å.
Neutral-atom scattering factors, no anomalous dispersion.

Structural model:
a = 4.607 Å, b = 4.607 Å, c = 18.397 Å
α = 90.00°, β = 90.00°, γ = 90.00°
Space group P4/mmm (No. 123)
Inequivalent atoms, fractional coordinates:
Na (0.000, 0.000, 0.000)
Li (0.000, 0.000, 0.254)
Li (0.000, 0.000, 0.500)
In (0.000, 0.500, 0.132)
In (0.000, 0.500, 0.377)
In (0.500, 0.500, 0.000)
In (0.500, 0.500, 0.254)
In (0.500, 0.500, 0.500)

Peak list (6 most intense, 2θ from 10° to 80°, sorted by position)
| d [Å] | two_theta | I/Imax |
| --- | --- | --- |
| 4.604 | 19.28 | 27 |
| 3.256 | 27.39 | 23 |
| 2.658 | 33.72 | 100 |
| 2.302 | 39.13 | 49 |
| 1.628 | 56.53 | 32 |
| 1.388 | 67.46 | 36 |

---

Diffraction record for NaLiInO2. The PXRD pattern is theoretical, not measured: it uses a structure optimized by DFT (PBE) and a wavelength of 1.5418 Å.
Neutral-atom scattering factors, no anomalous dispersion.

Structural model:
a = 6.339 Å, b = 12.298 Å, c = 5.790 Å
α = 90.00°, β = 90.00°, γ = 90.00°
Space group Cmme (No. 67)
Inequivalent atoms, fractional coordinates:
Na (0.000, 0.250, 0.229)
Li (0.000, 0.000, 0.500)
In (0.250, 0.000, 0.000)
O (0.000, 0.068, 0.215)

Peak list (6 most intense, 2θ from 10° to 80°, sorted by position)
| d [Å] | two_theta | I/Imax |
| --- | --- | --- |
| 6.149 | 14.40 | 100 |
| 5.790 | 15.30 | 88 |
| 4.215 | 21.08 | 72 |
| 2.817 | 31.76 | 26 |
| 2.619 | 34.24 | 26 |
| 2.533 | 35.44 | 43 |

---

Diffraction record for NaLiIn2Pb. The PXRD pattern is theoretical, not measured: it uses a structure optimized by DFT (PBE) and a wavelength of 1.5418 Å.
Neutral-atom scattering factors, no anomalous dispersion.

Structural model:
a = 4.904 Å, b = 16.210 Å, c = 6.476 Å
α = 90.00°, β = 90.00°, γ = 90.00°
Space group Cmcm (No. 63)
Inequivalent atoms, fractional coordinates:
Na (0.000, 0.101, 0.250)
Li (0.000, 0.123, 0.750)
In (0.000, 0.301, 0.004)
Pb (0.000, 0.500, 0.000)

Peak list (6 most intense, 2θ from 10° to 80°, sorted by position)
| d [Å] | two_theta | I/Imax |
| --- | --- | --- |
| 4.694 | 18.91 | 99 |
| 3.238 | 27.55 | 53 |
| 2.704 | 33.13 | 100 |
| 2.665 | 33.63 | 69 |
| 2.452 | 36.65 | 33 |
| 2.075 | 43.61 | 79 |

---

Diffraction record for NaLi2Pm2In5. The PXRD pattern is theoretical, not measured: it uses a structure optimized by DFT (PBE) and a wavelength of 1.5418 Å.
Neutral-atom scattering factors, no anomalous dispersion.

Structural model:
a = 10.265 Å, b = 10.265 Å, c = 4.500 Å
α = 90.00°, β = 90.00°, γ = 90.00°
Space group P4/mbm (No. 127)
Inequivalent atoms, fractional coordinates:
Na (0.000, 0.000, 0.000)
Li (0.113, 0.387, 0.000)
Pm (0.181, 0.681, 0.000)
In (0.000, 0.500, 0.500)
In (0.065, 0.210, 0.500)

Peak list (6 most intense, 2θ from 10° to 80°, sorted by position)
| d [Å] | two_theta | I/Imax |
| --- | --- | --- |
| 3.214 | 27.76 | 100 |
| 2.633 | 34.06 | 90 |
| 2.490 | 36.08 | 81 |
| 2.406 | 37.38 | 40 |
| 2.250 | 40.07 | 39 |
| 1.669 | 55.01 | 47 |